Record 1
Diffraction record for Tb2SmNi9. The powder XRD pattern is computed, not measured: it uses a crystal structure in OQMD, relaxed with GGA-PBE and Cu Kα, 1.54184 Å.

Structural model:
Cell lengths 4.9714, 4.9714, 24.3897 Å; angles 90.00, 90.00, 120.00 degrees
Space group R-3m (No. 166, hexagonal axes)
Symmetry-distinct sites (fractional):
Tb  0.0000  0.0000  0.1391 (multiplicity 6)
Sm  0.0000  0.0000  0.0000 (multiplicity 3)
Ni  0.0000  0.0000  0.3330 (multiplicity 6)
Ni  0.0000  0.0000  0.5000 (multiplicity 3)
Ni  0.0009  0.5005  0.9176 (multiplicity 18)

Top 10 peaks for 2θ = 10–90°, in order of falling intensity:
hkl	2theta	intensity
1 1 6	42.6	100
1 1 0	36.1	86
1 0 7	33.1	47
0 2 1	42.1	36
2 0 5	46.1	29
3 0 0	65.0	24
0 0 12	44.6	21
2 2 0	76.7	20
3 0 6	69.5	20
2 1 7	63.0	14



Record 2
Diffraction record for SmYNi4. The powder XRD pattern is computed, not measured: it uses a crystal structure in OQMD, relaxed with GGA-PBE and Cu Kα, 1.54184 Å.

Structural model:
Cell lengths 4.0117, 7.1178, 7.1450 Å; angles 90.00, 90.00, 90.00 degrees
Space group Imm2 (No. 44)
Symmetry-distinct sites (fractional):
Sm  0.0000  0.0000  0.0000 (multiplicity 2)
Y  0.0000  0.5000  0.9356 (multiplicity 2)
Ni  0.0000  0.2074  0.6286 (multiplicity 4)
Ni  0.0000  0.2858  0.3051 (multiplicity 4)

Top 10 peaks for 2θ = 10–90°, in order of falling intensity:
hkl	2theta	intensity
1 2 1	36.0	100
1 0 3	44.2	38
0 2 2	35.6	36
2 0 0	45.2	21
2 2 2	58.8	16
1 0 1	25.5	11
0 3 1	40.0	10
1 4 3	70.1	10
3 2 1	77.4	10
1 3 4	70.0	9



Record 3
Diffraction record for SmYZnNi2. The powder XRD pattern is computed, not measured: it uses a crystal structure in OQMD, relaxed with GGA-PBE and Cu Kα, 1.54184 Å.

Structural model:
Cell lengths 4.2606, 5.4020, 8.1588 Å; angles 90.00, 90.00, 90.00 degrees
Space group Imm2 (No. 44)
Symmetry-distinct sites (fractional):
Sm  0.0000  0.0000  0.0000 (multiplicity 2)
Y  0.0000  0.0000  0.4066 (multiplicity 2)
Zn  0.0000  0.5000  0.2037 (multiplicity 2)
Ni  0.0000  0.2703  0.7041 (multiplicity 4)

Top 10 peaks for 2θ = 10–90°, in order of falling intensity:
hkl	2theta	intensity
1 1 2	34.7	100
1 2 1	41.1	55
2 0 0	42.4	33
0 1 3	37.0	29
1 1 0	26.6	27
0 2 2	40.0	26
1 2 5	71.0	26
1 0 3	39.3	25
2 1 3	57.5	16
2 2 2	59.8	16



Record 4
Diffraction record for Ni7Sn. The powder XRD pattern is computed, not measured: it uses a crystal structure in OQMD, relaxed with GGA-PBE and Cu Kα, 1.54184 Å.

Structural model:
Cell lengths 2.8972, 2.8972, 31.1538 Å; angles 90.00, 90.00, 90.00 degrees
Space group P4mm (No. 99)
Symmetry-distinct sites (fractional):
Ni  0.0000  0.0000  0.0000 (multiplicity 1)
Ni  0.0000  0.0000  0.0824 (multiplicity 1)
Ni  0.0000  0.0000  0.1654 (multiplicity 1)
Ni  0.0000  0.0000  0.2502 (multiplicity 1)
Ni  0.0000  0.0000  0.3331 (multiplicity 1)
Ni  0.0000  0.0000  0.4161 (multiplicity 1)
Ni  0.0000  0.0000  0.5003 (multiplicity 1)
Ni  0.5000  0.5000  0.0409 (multiplicity 1)
Ni  0.5000  0.5000  0.1242 (multiplicity 1)
Ni  0.5000  0.5000  0.2076 (multiplicity 1)
Ni  0.5000  0.5000  0.2917 (multiplicity 1)
Ni  0.5000  0.5000  0.3748 (multiplicity 1)
Ni  0.5000  0.5000  0.4573 (multiplicity 1)
Ni  0.5000  0.5000  0.9570 (multiplicity 1)
Sn  0.0000  0.0000  0.8994 (multiplicity 1)
Sn  0.5000  0.5000  0.5579 (multiplicity 1)

Top 10 peaks for 2θ = 10–90°, in order of falling intensity:
hkl	2theta	intensity
1 0 12	47.0	100
1 1 0	44.2	83
1 0 11	44.7	53
2 1 12	83.4	34
2 0 0	64.3	30
1 0 10	42.6	18
1 0 8	38.7	17
2 1 11	81.7	17
1 1 1	44.3	16
1 0 5	34.1	12



Record 5
Diffraction record for Ni15Sn. The powder XRD pattern is computed, not measured: it uses a crystal structure in OQMD, relaxed with GGA-PBE and Cu Kα, 1.54184 Å.

Structural model:
Cell lengths 4.2726, 33.4837, 4.2727 Å; angles 90.00, 108.83, 90.00 degrees
Space group P2 (No. 3)
Symmetry-distinct sites (fractional):
Ni  0.0000  0.0000  0.0000 (multiplicity 1)
Ni  0.0000  0.0365  0.5000 (multiplicity 1)
Ni  0.0000  0.0741  0.0000 (multiplicity 1)
Ni  0.0000  0.1091  0.5000 (multiplicity 1)
Ni  0.0000  0.5588  0.0000 (multiplicity 1)
Ni  0.0000  0.5938  0.5000 (multiplicity 1)
Ni  0.0000  0.6314  0.0000 (multiplicity 1)
Ni  0.0000  0.6677  0.5000 (multiplicity 1)
Ni  0.0000  0.7051  0.0000 (multiplicity 1)
Ni  0.0000  0.7421  0.5000 (multiplicity 1)
Ni  0.0000  0.7788  0.0000 (multiplicity 1)
Ni  0.0000  0.8157  0.5000 (multiplicity 1)
Ni  0.0000  0.8524  0.0000 (multiplicity 1)
Ni  0.0000  0.8892  0.5000 (multiplicity 1)
Ni  0.0000  0.9259  0.0000 (multiplicity 1)
Ni  0.0000  0.9633  0.5000 (multiplicity 1)
Ni  0.5000  0.0000  0.5000 (multiplicity 1)
Ni  0.5000  0.0365  0.0000 (multiplicity 1)
Ni  0.5000  0.0741  0.5000 (multiplicity 1)
Ni  0.5000  0.5938  0.0000 (multiplicity 1)
Ni  0.5000  0.6312  0.5000 (multiplicity 1)
Ni  0.5000  0.6677  0.0000 (multiplicity 1)
Ni  0.5000  0.7055  0.5000 (multiplicity 1)
Ni  0.5000  0.7421  0.0000 (multiplicity 1)
Ni  0.5000  0.7789  0.5000 (multiplicity 1)
Ni  0.5000  0.8157  0.0000 (multiplicity 1)
Ni  0.5000  0.8525  0.5000 (multiplicity 1)
Ni  0.5000  0.8891  0.0000 (multiplicity 1)
Ni  0.5000  0.9259  0.5000 (multiplicity 1)
Ni  0.5000  0.9629  0.0000 (multiplicity 1)
Sn  0.5000  0.1225  0.0000 (multiplicity 1)
Sn  0.5000  0.5454  0.5000 (multiplicity 1)

Top 10 peaks for 2θ = 10–90°, in order of falling intensity:
hkl	2theta	intensity
2 0 0	44.9	100
1 13 -1	43.7	57
1 14 -1	46.1	39
1 13 1	51.1	34
2 0 -2	52.7	30
1 14 1	53.1	24
0 4 0	10.6	23
3 13 -1	76.4	19
3 14 -1	78.1	14
2 0 2	76.7	9



Record 6
Diffraction record for Ni7Sn2. The powder XRD pattern is computed, not measured: it uses a crystal structure in OQMD, relaxed with GGA-PBE and Cu Kα, 1.54184 Å.

Structural model:
Cell lengths 2.7949, 2.7949, 29.3877 Å; angles 90.00, 90.00, 120.00 degrees
Space group P-3m1 (No. 164)
Symmetry-distinct sites (fractional):
Ni  0.0000  0.0000  0.0000 (multiplicity 1)
Ni  0.0000  0.0000  0.1906 (multiplicity 2)
Ni  0.3333  0.6667  0.1271 (multiplicity 2)
Ni  0.3333  0.6667  0.9362 (multiplicity 2)
Sn  0.3333  0.6667  0.7356 (multiplicity 2)

Top 10 peaks for 2θ = 10–90°, in order of falling intensity:
hkl	2theta	intensity
1 0 5	40.3	100
0 1 10	48.7	53
0 0 4	12.0	35
1 0 6	41.6	35
1 1 0	67.0	29
0 1 11	50.9	21
0 0 15	46.3	18
1 1 15	85.3	17
1 0 4	39.2	17
1 0 3	38.3	16



Record 7
Diffraction record for Ni15Sn. The powder XRD pattern is computed, not measured: it uses a crystal structure in OQMD, relaxed with GGA-PBE and Cu Kα, 1.54184 Å.

Structural model:
Cell lengths 3.6511, 3.6511, 38.1109 Å; angles 90.00, 90.00, 90.00 degrees
Space group Pmm2 (No. 25)
Symmetry-distinct sites (fractional):
Ni  0.0000  0.0000  0.0000 (multiplicity 1)
Ni  0.0000  0.0000  0.0846 (multiplicity 1)
Ni  0.0000  0.0000  0.1693 (multiplicity 1)
Ni  0.0000  0.0000  0.2542 (multiplicity 1)
Ni  0.0000  0.0000  0.3389 (multiplicity 1)
Ni  0.0000  0.0000  0.4239 (multiplicity 1)
Ni  0.0000  0.0000  0.5101 (multiplicity 1)
Ni  0.0000  0.5000  0.0419 (multiplicity 1)
Ni  0.0000  0.5000  0.1271 (multiplicity 1)
Ni  0.0000  0.5000  0.2118 (multiplicity 1)
Ni  0.0000  0.5000  0.2966 (multiplicity 1)
Ni  0.0000  0.5000  0.3815 (multiplicity 1)
Ni  0.0000  0.5000  0.4675 (multiplicity 1)
Ni  0.0000  0.5000  0.5547 (multiplicity 1)
Ni  0.0000  0.5000  0.9568 (multiplicity 1)
Ni  0.5000  0.0000  0.0419 (multiplicity 1)
Ni  0.5000  0.0000  0.1270 (multiplicity 1)
Ni  0.5000  0.0000  0.2118 (multiplicity 1)
Ni  0.5000  0.0000  0.2966 (multiplicity 1)
Ni  0.5000  0.0000  0.3815 (multiplicity 1)
Ni  0.5000  0.0000  0.4668 (multiplicity 1)
Ni  0.5000  0.0000  0.9568 (multiplicity 1)
Ni  0.5000  0.5000  0.0847 (multiplicity 1)
Ni  0.5000  0.5000  0.1692 (multiplicity 1)
Ni  0.5000  0.5000  0.2542 (multiplicity 1)
Ni  0.5000  0.5000  0.3389 (multiplicity 1)
Ni  0.5000  0.5000  0.4239 (multiplicity 1)
Ni  0.5000  0.5000  0.5101 (multiplicity 1)
Ni  0.5000  0.5000  0.9116 (multiplicity 1)
Ni  0.5000  0.5000  0.9993 (multiplicity 1)
Sn  0.0000  0.0000  0.9028 (multiplicity 1)
Sn  0.5000  0.0000  0.5636 (multiplicity 1)

Top 10 peaks for 2θ = 10–90°, in order of falling intensity:
hkl	2theta	intensity
1 1 12	45.3	100
1 1 11	43.7	66
2 0 0	50.0	60
2 2 0	73.4	17
2 0 23	77.9	17
3 1 11	89.5	15
0 0 23	55.5	12
0 0 5	11.6	10
2 0 24	80.1	8
1 1 8	39.7	8